This entry pairs a crystal structure of Tb2U with its computed PXRD pattern. Radiation: copper Kα. Structure: a DFT-relaxed cell (GGA-PBE, OQMD).
Kinematic intensities with the Lorentz-polarization factor, no thermal factor.

Top 8 peaks for 10° ≤ 2θ ≤ 90°, low angle first:
2θ/deg, I/Imax, (hkl)
12.50, 100, 1 1 1
20.47, 25, 2 2 0
25.14, 20, 2 2 2
31.79, 34, 3 3 1
35.86, 13, 4 2 2
41.64, 24, 4 4 0
43.64, 29, 5 3 1
53.32, 16, 7 1 1

Crystal structure
Unit cell a=12.2692 b=12.2692 c=12.2692 alpha=90.00 beta=90.00 gamma=90.00
Space group Fd-3m (No. 227, origin choice 2)
Asymmetric unit:
Tb 0.0000 0.0000 0.0000 x16
U 0.1250 0.1250 0.1250 x8

This entry pairs a crystal structure of Tb3Zn11 with its computed PXRD pattern. Radiation: copper Kα. Structure: a DFT-relaxed cell (GGA-PBE, OQMD).
Kinematic intensities with the Lorentz-polarization factor, no thermal factor.

Top 8 peaks for 10° ≤ 2θ ≤ 90°, low angle first:
2θ/deg, I/Imax, (hkl)
34.42, 31, 0 2 4
35.62, 100, 1 2 3
36.09, 37, 1 1 4
36.69, 38, 1 3 0
36.91, 26, 0 3 3
39.35, 27, 1 3 2
41.30, 48, 2 0 0
69.81, 22, 1 4 7

Crystal structure
Unit cell a=4.3718 b=8.8723 c=12.8789 alpha=90.00 beta=90.00 gamma=90.00
Space group Immm (No. 71)
Asymmetric unit:
Tb 0.0000 0.0000 0.0000 x2
Tb 0.0000 0.0000 0.2946 x4
Zn 0.0000 0.1837 0.5000 x4
Zn 0.0000 0.2814 0.1392 x8
Zn 0.0000 0.3608 0.3423 x8
Zn 0.0000 0.5000 0.0000 x2

What did the second record say?
This entry pairs a crystal structure of Tb3Zn11 with its computed PXRD pattern. Radiation: copper Kα. Structure: a DFT-relaxed cell (GGA-PBE, OQMD).
Kinematic intensities with the Lorentz-polarization factor, no thermal factor.

Top 8 peaks for 10° ≤ 2θ ≤ 90°, low angle first:
2θ/deg, I/Imax, (hkl)
34.42, 31, 0 2 4
35.62, 100, 1 2 3
36.09, 37, 1 1 4
36.69, 38, 1 3 0
36.91, 26, 0 3 3
39.35, 27, 1 3 2
41.30, 48, 2 0 0
69.81, 22, 1 4 7

Crystal structure
Unit cell a=4.3718 b=8.8723 c=12.8789 alpha=90.00 beta=90.00 gamma=90.00
Space group Immm (No. 71)
Asymmetric unit:
Tb 0.0000 0.0000 0.0000 x2
Tb 0.0000 0.0000 0.2946 x4
Zn 0.0000 0.1837 0.5000 x4
Zn 0.0000 0.2814 0.1392 x8
Zn 0.0000 0.3608 0.3423 x8
Zn 0.0000 0.5000 0.0000 x2